1.
This entry pairs a crystal structure of AcPr4Y10 with its theoretical PXRD pattern. Radiation: copper Kα. Structure: a DFT-relaxed cell (PBE, Alexandria).
No peak broadening, texture or thermal motion is included.

Largest 12 diffraction maxima, most intense first, 15 to 90 degrees two-theta:
Position (°2θ)  I/Imax  index
30.8  100  2 4 0
28.4  76  1 1 2
28.1  70  3 2 1
34.6  66  3 1 2
20.2  53  2 1 1
31.4  45  4 1 1
44.7  37  5 1 2
24.5  31  3 0 1
35.2  28  5 1 0
52.2  26  2 6 2
44.1  25  6 2 0
64.3  24  2 4 4

Atomic structure:
a b c (Å): 13.001 13.001 6.686
angles (deg): 90.00 90.00 90.00
Space group I4/m (No. 87)
One atom of each set of equivalent atoms:
Ac (0.000, 0.000, 0.000) (multiplicity 2)
Pr (0.067, 0.175, 0.500) (multiplicity 8)
Y (0.000, 0.500, 0.250) (multiplicity 4)
Y (0.131, 0.705, 0.251) (multiplicity 16)

2.
This entry pairs a crystal structure of Li4Tl3Pt with its theoretical PXRD pattern. Radiation: copper Kα. Structure: a DFT-relaxed cell (PBE, Alexandria).
No peak broadening, texture or thermal motion is included.

Largest 12 diffraction maxima, most intense first, 15 to 90 degrees two-theta:
Position (°2θ)  I/Imax  index
26.9  100  1 0 0
37.8  65  1 0 4
38.4  44  1 1 0
26.1  39  0 0 4
47.0  32  1 1 4
69.1  23  2 1 4
62.7  19  2 1 0
55.5  15  2 0 0
62.3  14  2 0 4
33.5  11  1 0 3
42.9  11  1 0 5
81.6  10  1 1 10

Atomic structure:
a b c (Å): 3.311 3.311 13.670
angles (deg): 90.00 90.00 90.00
Space group P4/mmm (No. 123)
One atom of each set of equivalent atoms:
Li (0.000, 0.000, 0.091) (multiplicity 2)
Li (0.000, 0.000, 0.357) (multiplicity 2)
Tl (0.500, 0.500, 0.218) (multiplicity 2)
Tl (0.500, 0.500, 0.500) (multiplicity 1)
Pt (0.500, 0.500, 0.000) (multiplicity 1)

3.
This entry pairs a crystal structure of NaSmSe2O8 with its theoretical PXRD pattern. Radiation: copper Kα. Structure: a DFT-relaxed cell (PBE, Alexandria).
No peak broadening, texture or thermal motion is included.

Largest 12 diffraction maxima, most intense first, 15 to 90 degrees two-theta:
Position (°2θ)  I/Imax  index
28.9  100  1 1 2
47.0  29  2 0 4
58.9  25  1 3 2
18.8  20  1 0 1
34.9  18  2 0 0
53.2  17  1 1 6
15.1  17  0 0 2
30.5  16  0 0 4
76.2  13  3 1 6
59.9  12  2 2 4
50.2  11  2 2 0
24.5  10  1 1 0

Atomic structure:
a b c (Å): 5.144 5.144 11.719
angles (deg): 90.00 90.00 90.00
Space group I-4 (No. 82)
One atom of each set of equivalent atoms:
Na (0.000, 0.000, 0.000) (multiplicity 2)
Sm (0.000, 0.500, 0.750) (multiplicity 2)
Se (0.000, 0.000, 0.500) (multiplicity 2)
Se (0.000, 0.500, 0.250) (multiplicity 2)
O (0.126, 0.241, 0.579) (multiplicity 8)
O (0.136, 0.743, 0.176) (multiplicity 8)

What did the second record say?
This entry pairs a crystal structure of Li4Tl3Pt with its theoretical PXRD pattern. Radiation: copper Kα. Structure: a DFT-relaxed cell (PBE, Alexandria).
No peak broadening, texture or thermal motion is included.

Largest 12 diffraction maxima, most intense first, 15 to 90 degrees two-theta:
Position (°2θ)  I/Imax  index
26.9  100  1 0 0
37.8  65  1 0 4
38.4  44  1 1 0
26.1  39  0 0 4
47.0  32  1 1 4
69.1  23  2 1 4
62.7  19  2 1 0
55.5  15  2 0 0
62.3  14  2 0 4
33.5  11  1 0 3
42.9  11  1 0 5
81.6  10  1 1 10

Atomic structure:
a b c (Å): 3.311 3.311 13.670
angles (deg): 90.00 90.00 90.00
Space group P4/mmm (No. 123)
One atom of each set of equivalent atoms:
Li (0.000, 0.000, 0.091) (multiplicity 2)
Li (0.000, 0.000, 0.357) (multiplicity 2)
Tl (0.500, 0.500, 0.218) (multiplicity 2)
Tl (0.500, 0.500, 0.500) (multiplicity 1)
Pt (0.500, 0.500, 0.000) (multiplicity 1)